This entry pairs a crystal structure of Mn2CrF8 with its calculated PXRD pattern. Radiation: Cu Kα X-rays. Structure: a PBE+U-relaxed structure.

Peak list (12 most intense, 2θ = 10–90°, low angle first)
- (0 1 1), 2θ = 27.40°, d = 3.255 Å, I 80
- (1 1 0), 2θ = 28.04°, d = 3.182 Å, I 100
- (2 0 0), 2θ = 32.49°, d = 2.755 Å, I 15
- (1 1 1), 2θ = 35.95°, d = 2.498 Å, I 13
- (0 0 2), 2θ = 44.95°, d = 2.017 Å, I 13
- (0 1 2), 2θ = 48.05°, d = 1.894 Å, I 15
- (1 2 1), 2θ = 49.24°, d = 1.851 Å, I 38
- (3 0 0), 2θ = 49.63°, d = 1.837 Å, I 17
- (2 0 2), 2θ = 56.56°, d = 1.627 Å, I 27
- (2 2 0), 2θ = 57.97°, d = 1.591 Å, I 35
- (1 2 2), 2θ = 64.30°, d = 1.449 Å, I 19
- (2 2 2), 2θ = 76.23°, d = 1.249 Å, I 10

Atomic structure:
```
Mn2CrF8
1.0
6.363 0.000 0.000
-3.182 5.511 0.000
0.000 0.000 4.033
Mn Cr F
2 1 8
Direct
0.333 0.667 0.234 Mn
0.667 0.333 0.766 Mn
0.000 0.000 0.000 Cr
0.153 0.306 0.245 F
0.153 0.847 0.245 F
0.306 0.153 0.755 F
0.333 0.667 0.737 F
0.667 0.333 0.263 F
0.694 0.847 0.245 F
0.847 0.153 0.755 F
0.847 0.694 0.755 F
```